Record 1
Starting from a crystal structure in Alexandria, relaxed with PBE, the X-ray diffraction stick pattern of Er3Sc was simulated for Cu Kα, 1.54184 Å.
Neutral-atom scattering factors, no anomalous dispersion.

Top 10 peaks for 2θ from 5° to 70°, sorted by position:
18.2°, d = 4.873 Å, I 14
25.9°, d = 3.446 Å, I 12
31.8°, d = 2.813 Å, I 100
36.9°, d = 2.437 Å, I 50
41.4°, d = 2.179 Å, I 7
45.6°, d = 1.989 Å, I 6
53.2°, d = 1.723 Å, I 35
56.7°, d = 1.624 Å, I 4
63.3°, d = 1.469 Å, I 41
66.5°, d = 1.407 Å, I 12

a = 4.873 Å, b = 4.873 Å, c = 4.873 Å
α = 90.00°, β = 90.00°, γ = 90.00°
Space group Pm-3m (No. 221)
Symmetry-distinct sites (fractional):
Er  0.000  0.000  0.500
Sc  0.500  0.500  0.500


Record 2
Starting from a crystal structure in Alexandria, relaxed with PBE, the X-ray diffraction stick pattern of RbNpPaO6 was simulated for Cu Kα, 1.54184 Å.
Neutral-atom scattering factors, no anomalous dispersion.

Top 10 peaks for 2θ from 5° to 70°, sorted by position:
13.6°, d = 6.504 Å, I 65
26.2°, d = 3.397 Å, I 100
27.4°, d = 3.252 Å, I 72
31.7°, d = 2.820 Å, I 11
41.6°, d = 2.169 Å, I 28
45.6°, d = 1.991 Å, I 37
53.3°, d = 1.719 Å, I 13
53.9°, d = 1.700 Å, I 23
54.1°, d = 1.696 Å, I 11
63.4°, d = 1.467 Å, I 13

a = 7.966 Å, b = 7.985 Å, c = 11.241 Å
α = 90.00°, β = 90.00°, γ = 90.00°
Space group Imma (No. 74)
Symmetry-distinct sites (fractional):
Rb  0.000  0.250  0.123
Np  0.000  0.000  0.500
Pa  0.250  0.250  0.750
O  0.000  0.250  0.441
O  0.000  0.250  0.822
O  0.184  0.051  0.623


Record 3
Starting from a crystal structure in Alexandria, relaxed with PBE, the X-ray diffraction stick pattern of Ho5Ga2 was simulated for Cu Kα, 1.54184 Å.
Neutral-atom scattering factors, no anomalous dispersion.

Top 10 peaks for 2θ from 5° to 70°, sorted by position:
26.6°, d = 3.347 Å, I 55
30.2°, d = 2.962 Å, I 61
31.0°, d = 2.884 Å, I 100
32.3°, d = 2.774 Å, I 84
32.9°, d = 2.720 Å, I 51
33.5°, d = 2.677 Å, I 48
33.7°, d = 2.662 Å, I 53
34.4°, d = 2.610 Å, I 46
36.6°, d = 2.453 Å, I 86
38.0°, d = 2.367 Å, I 58

a = 15.650 Å, b = 6.189 Å, c = 8.021 Å
α = 90.00°, β = 97.54°, γ = 90.00°
Space group C2/c (No. 15)
Symmetry-distinct sites (fractional):
Ho  0.000  0.124  0.250
Ho  0.095  0.364  0.924
Ho  0.221  0.083  0.319
Ga  0.104  0.193  0.582


Record 4
Starting from a crystal structure in Alexandria, relaxed with PBE, the X-ray diffraction stick pattern of TbSe3O9 was simulated for Cu Kα, 1.54184 Å.
Neutral-atom scattering factors, no anomalous dispersion.

Top 10 peaks for 2θ from 5° to 70°, sorted by position:
13.7°, d = 6.480 Å, I 46
17.3°, d = 5.131 Å, I 19
19.6°, d = 4.531 Å, I 100
22.5°, d = 3.943 Å, I 56
24.7°, d = 3.610 Å, I 20
25.3°, d = 3.519 Å, I 19
26.3°, d = 3.394 Å, I 40
28.2°, d = 3.166 Å, I 26
30.4°, d = 2.942 Å, I 34
33.3°, d = 2.693 Å, I 37

a = 14.554 Å, b = 8.358 Å, c = 10.361 Å
α = 90.00°, β = 126.89°, γ = 90.00°
Space group Cc (No. 9)
Symmetry-distinct sites (fractional):
Tb  0.000  0.237  0.000
Se  0.140  0.121  0.799
Se  0.241  0.471  0.748
Se  0.342  0.041  0.639
O  0.069  0.106  0.878
O  0.122  0.058  0.208
O  0.163  0.398  0.810
O  0.167  0.371  0.131
O  0.258  0.330  0.655
O  0.288  0.113  0.966
O  0.366  0.458  0.410
O  0.416  0.089  0.292
O  0.440  0.130  0.626